Computed powder diffraction line list
Compound: BiMo4O12
Radiation: Cu Ka
Structure: a DFT-relaxed cell (PBE+U, Alexandria)
Peak positions follow from Bragg's law for the DFT cell and can differ from measured ones.

```
data_BiMo4O12
_chemical_formula_sum 'Bi2 Mo8 O24'
_cell_length_a 7.847
_cell_length_b 7.847
_cell_length_c 7.589
_cell_angle_alpha 90.00
_cell_angle_beta 90.00
_cell_angle_gamma 90.00
_symmetry_space_group_name_H-M 'I 4/m m m'
_symmetry_Int_Tables_number 139
_symmetry_space_group_name_Hall '-I 4 2'
loop_
_atom_site_label
_atom_site_fract_x
_atom_site_fract_y
_atom_site_fract_z
_atom_site_occupancy
Bi1 0.000 0.000 0.000 1
Mo1 0.250 0.250 0.250 1
O1 0.000 0.245 0.204 1
O2 0.216 0.216 0.500 1
```

Principal peaks in the range 10° ≤ 2θ ≤ 80°, in order of falling intensity:
(hkl)	2theta	d (Å)	Rel. int.
2 0 2	32.84	2.728	100
1 0 1	16.25	5.455	83
2 2 0	32.27	2.774	49
1 1 0	15.97	5.548	44
4 2 2	57.90	1.593	43
2 1 1	28.01	3.185	42